Record 1
Simulated PXRD pattern
Compound: K2HgH2Cl4O
Radiation: copper Kα
Structure: DFT lattice parameters and positions (PBE)

The 6 most intense peaks (10 to 90 degrees two-theta), most intense first:
| 2theta | d (Å) | Rel. int. | h k l |
| --- | --- | --- | --- |
| 12.79 | 6.919 | 100 | 1 1 0 |
| 23.50 | 3.786 | 79 | 1 1 2 |
| 32.59 | 2.748 | 49 | 2 2 2 |
| 24.75 | 3.597 | 45 | 1 3 0 |
| 14.89 | 5.950 | 34 | 0 2 0 |
| 28.82 | 3.098 | 34 | 2 0 2 |

Crystal structure
Cell: 8.504 11.901 9.046 Å, 90.00 90.00 90.00°
Space group Pbam (No. 55)
One atom of each set of equivalent atoms:
K (0.079, 0.154, 0.000) [4 per cell]
K (0.111, 0.197, 0.500) [4 per cell]
Hg (0.000, 0.500, 0.224) [4 per cell]
H (0.086, 0.976, 0.302) [8 per cell]
Cl (0.114, 0.686, 0.254) [8 per cell]
Cl (0.202, 0.423, 0.000) [4 per cell]
Cl (0.236, 0.939, 0.500) [4 per cell]
O (0.000, 0.000, 0.235) [4 per cell]


Record 2
Simulated PXRD pattern
Compound: TcPHOs
Radiation: copper Kα
Structure: DFT lattice parameters and positions (PBE)

The 6 most intense peaks (10 to 90 degrees two-theta), most intense first:
| 2theta | d (Å) | Rel. int. | h k l |
| --- | --- | --- | --- |
| 42.36 | 2.134 | 100 | 1 1 2 |
| 30.78 | 2.905 | 93 | 0 0 2 |
| 34.15 | 2.625 | 84 | 0 1 0 |
| 41.50 | 2.176 | 83 | 1 0 2 |
| 35.31 | 2.542 | 83 | 1 1 0 |
| 35.64 | 2.519 | 69 | 1 0 0 |

Crystal structure
Cell: 2.982 3.021 6.001 Å, 85.11 75.73 60.44°
Space group P1 (No. 1)
One atom of each set of equivalent atoms:
Tc (0.000, 0.000, 0.000) [1 per cell]
P (0.476, 0.319, 0.724) [1 per cell]
H (0.570, 0.699, 0.161) [1 per cell]
Os (0.297, 0.946, 0.453) [1 per cell]


Record 3
Simulated PXRD pattern
Compound: AcPmSc2
Radiation: copper Kα
Structure: DFT lattice parameters and positions (PBE)

The 6 most intense peaks (10 to 90 degrees two-theta), most intense first:
| 2theta | d (Å) | Rel. int. | h k l |
| --- | --- | --- | --- |
| 31.60 | 2.832 | 100 | 0 1 5 |
| 15.86 | 5.587 | 83 | 0 0 6 |
| 34.27 | 2.616 | 82 | 1 0 7 |
| 28.70 | 3.110 | 52 | 1 0 1 |
| 32.04 | 2.793 | 44 | 0 0 12 |
| 29.08 | 3.071 | 43 | 0 1 2 |

Crystal structure
Cell: 3.6070 3.6070 33.5217 Å, 90.00 90.00 120.00°
Space group R3m (No. 160, hexagonal axes)
One atom of each set of equivalent atoms:
Ac (0.0000, 0.0000, 0.0000) [3 per cell]
Pm (0.0000, 0.0000, 0.1668) [3 per cell]
Sc (0.0000, 0.0000, 0.4184) [3 per cell]
Sc (0.0000, 0.0000, 0.5817) [3 per cell]


Record 4
Simulated PXRD pattern
Compound: Al2MoRu
Radiation: copper Kα
Structure: DFT lattice parameters and positions (PBE)

The 6 most intense peaks (10 to 90 degrees two-theta), most intense first:
| 2theta | d (Å) | Rel. int. | h k l |
| --- | --- | --- | --- |
| 41.72 | 2.165 | 100 | 0 2 0 |
| 22.79 | 3.902 | 38 | 0 1 1 |
| 39.79 | 2.265 | 22 | 0 0 4 |
| 59.07 | 1.564 | 14 | 0 2 4 |
| 73.54 | 1.288 | 13 | 1 1 6 |
| 31.39 | 2.849 | 13 | 1 0 1 |

Crystal structure
Cell: 3.002 4.324 9.061 Å, 90.00 90.00 90.00°
Space group Imm2 (No. 44)
One atom of each set of equivalent atoms:
Al (0.000, 0.000, 0.000) [2 per cell]
Al (0.000, 0.500, 0.229) [2 per cell]
Mo (0.000, 0.500, 0.754) [2 per cell]
Ru (0.000, 0.000, 0.496) [2 per cell]


Record 5
Simulated PXRD pattern
Compound: La5TbTm2Th
Radiation: copper Kα
Structure: DFT lattice parameters and positions (PBE)

The 6 most intense peaks (10 to 90 degrees two-theta), most intense first:
| 2theta | d (Å) | Rel. int. | h k l |
| --- | --- | --- | --- |
| 31.17 | 2.870 | 100 | 1 5 2 |
| 32.59 | 2.748 | 31 | 2 0 0 |
| 33.49 | 2.676 | 19 | 0 0 4 |
| 57.26 | 1.609 | 18 | 3 5 2 |
| 47.42 | 1.917 | 15 | 2 0 4 |
| 32.39 | 2.764 | 15 | 1 3 3 |

Crystal structure
Cell: 5.496 21.635 10.704 Å, 90.00 90.00 90.00°
Space group Cmc2_1 (No. 36)
One atom of each set of equivalent atoms:
La (0.000, 0.000, 0.000) [4 per cell]
La (0.000, 0.127, 0.250) [4 per cell]
La (0.000, 0.223, 0.558) [4 per cell]
La (0.000, 0.223, 0.943) [4 per cell]
La (0.000, 0.498, 0.750) [4 per cell]
Tb (0.000, 0.102, 0.750) [4 per cell]
Tm (0.000, 0.388, 0.008) [4 per cell]
Tm (0.000, 0.388, 0.493) [4 per cell]
Th (0.000, 0.288, 0.251) [4 per cell]


Record 6
Simulated PXRD pattern
Compound: PrNdTm14
Radiation: copper Kα
Structure: DFT lattice parameters and positions (PBE)

The 6 most intense peaks (10 to 90 degrees two-theta), most intense first:
| 2theta | d (Å) | Rel. int. | h k l |
| --- | --- | --- | --- |
| 31.86 | 2.809 | 100 | 2 2 2 |
| 32.52 | 2.753 | 33 | 4 0 0 |
| 57.61 | 1.600 | 17 | 6 2 2 |
| 31.10 | 2.876 | 15 | 2 1 3 |
| 32.14 | 2.785 | 15 | 0 0 4 |
| 33.18 | 2.700 | 11 | 1 0 4 |

Crystal structure
Cell: 11.012 8.062 11.139 Å, 90.00 90.00 90.00°
Space group Amm2 (No. 38)
One atom of each set of equivalent atoms:
Pr (0.000, 0.000, 0.000) [2 per cell]
Nd (0.000, 0.000, 0.557) [2 per cell]
Tm (0.000, 0.205, 0.278) [4 per cell]
Tm (0.238, 0.000, 0.760) [4 per cell]
Tm (0.254, 0.210, 0.483) [8 per cell]
Tm (0.269, 0.000, 0.207) [4 per cell]
Tm (0.500, 0.000, 0.415) [2 per cell]
Tm (0.500, 0.000, 0.965) [2 per cell]
Tm (0.500, 0.206, 0.693) [4 per cell]